# 1
Diffraction record for In2Hg5. The PXRD pattern is computed, not measured: it uses a DFT-relaxed cell (PBE, Alexandria) and Cu Kα (weighted mean of Kα1 and Kα2).
No peak broadening, texture or thermal motion is included.

Principal peaks in the range 2θ = 5–70°, in order of rising 2θ:
2θ = 11.25°, I = 6.8; 2θ = 33.14°, I = 100.0; 2θ = 34.34°, I = 93.0; 2θ = 36.24°, I = 3.0; 2θ = 41.50°, I = 2.4; 2θ = 48.46°, I = 34.9; 2θ = 58.42°, I = 18.8; 2θ = 60.73°, I = 35.6; 2θ = 61.49°, I = 17.5; 2θ = 69.55°, I = 11.3

a b c (Å): 5.2236 5.2236 23.6007
angles (deg): 90.00 90.00 120.00
Space group R-3m (No. 166, hexagonal axes)
One atom of each set of equivalent atoms:
In  0.0000  0.0000  0.1355 [6 per cell]
Hg  0.0000  0.0000  0.0000 [3 per cell]
Hg  0.0000  0.0000  0.2848 [6 per cell]
Hg  0.0000  0.0000  0.4277 [6 per cell]

# 2
Diffraction record for InHg3. The PXRD pattern is computed, not measured: it uses a DFT-relaxed cell (PBE, Alexandria) and Cu Kα (weighted mean of Kα1 and Kα2).
No peak broadening, texture or thermal motion is included.

Principal peaks in the range 2θ = 5–70°, in order of rising 2θ:
2θ = 31.19°, I = 42.2; 2θ = 33.03°, I = 91.2; 2θ = 34.32°, I = 44.3; 2θ = 35.71°, I = 100.0; 2θ = 47.05°, I = 27.4; 2θ = 51.73°, I = 23.6; 2θ = 60.65°, I = 16.2; 2θ = 62.37°, I = 20.0; 2θ = 63.56°, I = 25.5; 2θ = 67.76°, I = 23.3

a b c (Å): 5.226 6.430 6.346
angles (deg): 90.00 90.00 90.00
Space group Pmmn (No. 59, origin choice 2)
One atom of each set of equivalent atoms:
In  0.250  0.250  0.155 [2 per cell]
Hg  0.250  0.002  0.645 [4 per cell]
Hg  0.250  0.750  0.140 [2 per cell]